Entry 1:
The following is a computed powder X-ray diffraction pattern of LiInBr4. It was derived from a DFT-relaxed cell (GGA-PBE, Alexandria), using Cu Kα X-rays.

Structure:
Cell lengths 6.3060, 6.3060, 11.0166 Å; angles 90.00, 90.00, 90.00 degrees
Atoms (fractional coordinates):
Li (0.0000, 0.0000, 0.0000)
Li (0.0000, 0.0000, 0.5000)
In (0.0000, 0.5000, 0.2500)
In (0.5000, 0.0000, 0.7500)
Br (0.2349, 0.2621, 0.3809)
Br (0.2349, 0.7379, 0.1191)
Br (0.2621, 0.2349, 0.8809)
Br (0.2621, 0.7651, 0.6191)
Br (0.7379, 0.2349, 0.6191)
Br (0.7379, 0.7651, 0.8809)
Br (0.7651, 0.2621, 0.1191)
Br (0.7651, 0.7379, 0.3809)

Most intense lines, 10 to 90 degrees two-theta, by intensity:
d = 3.466 Å, intensity 100; d = 5.473 Å, intensity 45; d = 2.074 Å, intensity 38; d = 1.875 Å, intensity 32; d = 2.229 Å, intensity 23; d = 2.734 Å, intensity 18; d = 1.255 Å, intensity 15; d = 3.153 Å, intensity 13; d = 1.698 Å, intensity 12; d = 1.351 Å, intensity 10

Entry 2:
The following is a computed powder X-ray diffraction pattern of Nb2CrI2. It was derived from a DFT-relaxed cell (GGA-PBE, Alexandria), using Cu Kα X-rays.

Structure:
Cell lengths 3.7479, 3.7479, 16.7310 Å; angles 90.00, 90.00, 90.00 degrees
Atoms (fractional coordinates):
Nb (0.0000, 0.5000, 0.2500)
Nb (0.0000, 0.5000, 0.7500)
Nb (0.5000, 0.0000, 0.2500)
Nb (0.5000, 0.0000, 0.7500)
Cr (0.0000, 0.0000, 0.0000)
Cr (0.5000, 0.5000, 0.5000)
I (0.0000, 0.0000, 0.3951)
I (0.0000, 0.0000, 0.6049)
I (0.5000, 0.5000, 0.1049)
I (0.5000, 0.5000, 0.8951)

Most intense lines, 10 to 90 degrees two-theta, by intensity:
d = 2.526 Å, intensity 100; d = 2.239 Å, intensity 94; d = 2.496 Å, intensity 93; d = 3.657 Å, intensity 58; d = 1.874 Å, intensity 52; d = 3.111 Å, intensity 44; d = 1.415 Å, intensity 38; d = 1.499 Å, intensity 36; d = 2.789 Å, intensity 33; d = 8.366 Å, intensity 27

Entry 3:
The following is a computed powder X-ray diffraction pattern of TbNbGa. It was derived from a DFT-relaxed cell (GGA-PBE, Alexandria), using Cu Kα X-rays.

Structure:
Cell lengths 4.0101, 4.0101, 16.3860 Å; angles 90.00, 90.00, 90.00 degrees
Atoms (fractional coordinates):
Tb (0.0000, 0.0000, 0.1744)
Tb (0.0000, 0.0000, 0.8256)
Tb (0.5000, 0.5000, 0.3256)
Tb (0.5000, 0.5000, 0.6744)
Nb (0.0000, 0.5000, 0.0000)
Nb (0.0000, 0.5000, 0.5000)
Nb (0.5000, 0.0000, 0.0000)
Nb (0.5000, 0.0000, 0.5000)
Ga (0.0000, 0.0000, 0.3777)
Ga (0.0000, 0.0000, 0.6223)
Ga (0.5000, 0.5000, 0.1223)
Ga (0.5000, 0.5000, 0.8777)

Most intense lines, 10 to 90 degrees two-theta, by intensity:
d = 2.680 Å, intensity 100; d = 2.332 Å, intensity 95; d = 2.538 Å, intensity 69; d = 2.005 Å, intensity 67; d = 3.232 Å, intensity 54; d = 2.731 Å, intensity 44; d = 1.659 Å, intensity 43; d = 1.616 Å, intensity 36; d = 1.573 Å, intensity 32; d = 2.836 Å, intensity 31

Entry 4:
The following is a computed powder X-ray diffraction pattern of DyTm7Th2. It was derived from a DFT-relaxed cell (GGA-PBE, Alexandria), using Cu Kα X-rays.

Structure:
Cell lengths 10.2096, 10.2096, 10.2096 Å; angles 159.79, 111.68, 72.07 degrees
Atoms (fractional coordinates):
Dy (0.0000, 0.0000, 0.0000)
Tm (0.0973, 0.8461, 0.2513)
Tm (0.3379, 0.3379, 0.0000)
Tm (0.4052, 0.1539, 0.2513)
Tm (0.5000, 0.0000, 0.5000)
Tm (0.5948, 0.8461, 0.7487)
Tm (0.6621, 0.6621, 0.0000)
Tm (0.9027, 0.1539, 0.7487)
Th (0.1759, 0.6759, 0.5000)
Th (0.8241, 0.3241, 0.5000)

Most intense lines, 10 to 90 degrees two-theta, by intensity:
d = 2.660 Å, intensity 100; d = 2.867 Å, intensity 32; d = 2.752 Å, intensity 25; d = 1.612 Å, intensity 22; d = 1.985 Å, intensity 20; d = 1.571 Å, intensity 17; d = 8.256 Å, intensity 12; d = 1.330 Å, intensity 11; d = 1.241 Å, intensity 10; d = 5.733 Å, intensity 10

Entry 5:
The following is a computed powder X-ray diffraction pattern of LiAcCd5. It was derived from a DFT-relaxed cell (GGA-PBE, Alexandria), using Cu Kα X-rays.

Structure:
Cell lengths 5.8690, 8.9668, 7.3726 Å; angles 90.00, 90.00, 90.00 degrees
Atoms (fractional coordinates):
Li (0.0000, 0.0000, 0.0000)
Li (0.5000, 0.5000, 0.0000)
Ac (0.0000, 0.5000, 0.5000)
Ac (0.5000, 0.0000, 0.5000)
Cd (0.0000, 0.5000, 0.0000)
Cd (0.2500, 0.2500, 0.2124)
Cd (0.2500, 0.2500, 0.7876)
Cd (0.2500, 0.7500, 0.2124)
Cd (0.2500, 0.7500, 0.7876)
Cd (0.5000, 0.0000, 0.0000)
Cd (0.7500, 0.2500, 0.2124)
Cd (0.7500, 0.2500, 0.7876)
Cd (0.7500, 0.7500, 0.2124)
Cd (0.7500, 0.7500, 0.7876)

Most intense lines, 10 to 90 degrees two-theta, by intensity:
d = 2.847 Å, intensity 100; d = 2.456 Å, intensity 85; d = 4.911 Å, intensity 74; d = 2.296 Å, intensity 55; d = 2.948 Å, intensity 42; d = 1.604 Å, intensity 35; d = 2.242 Å, intensity 29; d = 2.158 Å, intensity 21; d = 1.474 Å, intensity 19; d = 1.304 Å, intensity 17

Entry 6:
The following is a computed powder X-ray diffraction pattern of LiAc3Pb2O. It was derived from a DFT-relaxed cell (GGA-PBE, Alexandria), using Cu Kα X-rays.

Structure:
Cell lengths 4.7970, 5.0188, 17.9098 Å; angles 90.00, 90.00, 90.00 degrees
Atoms (fractional coordinates):
Li (0.0000, 0.0000, 0.0000)
Li (0.5000, 0.5000, 0.5000)
Ac (0.0000, 0.0000, 0.5000)
Ac (0.0000, 0.5000, 0.3363)
Ac (0.0000, 0.5000, 0.6637)
Ac (0.5000, 0.0000, 0.1637)
Ac (0.5000, 0.0000, 0.8363)
Ac (0.5000, 0.5000, 0.0000)
Pb (0.0000, 0.5000, 0.1408)
Pb (0.0000, 0.5000, 0.8592)
Pb (0.5000, 0.0000, 0.3592)
Pb (0.5000, 0.0000, 0.6408)
O (0.0000, 0.5000, 0.5000)
O (0.5000, 0.0000, 0.0000)

Most intense lines, 10 to 90 degrees two-theta, by intensity:
d = 2.742 Å, intensity 100; d = 3.468 Å, intensity 54; d = 3.234 Å, intensity 54; d = 2.985 Å, intensity 37; d = 2.509 Å, intensity 34; d = 2.399 Å, intensity 30; d = 2.870 Å, intensity 23; d = 1.734 Å, intensity 23; d = 1.921 Å, intensity 22; d = 1.591 Å, intensity 21